# 1
Diffraction record for Na2SiAgSe4. The X-ray diffraction stick pattern is simulated, not measured: it uses a PBE-relaxed structure and Cu Kα.
No peak broadening, texture or thermal motion is included.

Top 10 peaks for 10 to 90 degrees two-theta, in order of rising 2θ:
d [Å]  2θ (°)  I (rel.)
5.267  16.83  43
2.996  29.82  100
2.873  31.13  15
2.633  34.05  25
2.522  35.60  60
2.334  38.57  12
2.185  41.33  13
1.941  46.80  21
1.756  52.10  14
1.747  52.38  24

```
Na2SiAgSe4
1.0
7.4483 0.0000 0.0000
0.0000 7.4483 0.0000
0.0000 0.0000 6.8555
Na Si Ag Se
4 2 2 8
Cartesian
0.0000 3.7242 0.0000 Na
0.0000 3.7242 3.4278 Na
3.7242 0.0000 0.0000 Na
3.7242 0.0000 3.4278 Na
0.0000 0.0000 0.0000 Si
3.7242 3.7242 3.4278 Si
0.0000 0.0000 3.4278 Ag
3.7242 3.7242 0.0000 Ag
1.2935 1.2935 5.4596 Se
1.2935 6.1548 1.3960 Se
2.4307 2.4307 2.0318 Se
2.4307 5.0177 4.8237 Se
5.0177 2.4307 4.8237 Se
5.0177 5.0177 2.0318 Se
6.1548 1.2935 1.3960 Se
6.1548 6.1548 5.4596 Se
```

# 2
Diffraction record for Gd5C6Cl3. The X-ray diffraction stick pattern is simulated, not measured: it uses a PBE-relaxed structure and Cu Kα.
No peak broadening, texture or thermal motion is included.

Top 10 peaks for 10 to 90 degrees two-theta, in order of rising 2θ:
d [Å]  2θ (°)  I (rel.)
7.611  11.63  27
3.300  27.02  33
3.233  27.59  32
3.192  27.95  75
3.040  29.38  67
2.694  33.25  100
2.032  44.59  36
2.001  45.33  35
1.875  48.54  19
1.596  57.77  20

```
Gd5C6Cl3
1.0
10.9252 -1.8755 0.0000
10.9252 1.8755 0.0000
-8.5332 0.0000 12.9315
Gd C Cl
10 12 6
Cartesian
-0.8483 0.0000 1.4402 Gd
-3.2626 0.0000 5.1361 Gd
6.1287 0.0000 1.5300 Gd
-0.3287 0.0000 11.5492 Gd
4.3066 0.0000 4.6380 Gd
9.0105 0.0000 8.2935 Gd
13.6458 0.0000 1.3823 Gd
7.1885 0.0000 11.4015 Gd
16.5798 0.0000 7.7953 Gd
14.1655 0.0000 11.4913 Gd
-3.4815 0.0000 9.4147 C
-5.4903 0.0000 12.4436 C
4.1641 0.0000 0.2230 C
-2.3409 0.0000 10.0849 C
6.0949 0.0000 6.0842 C
1.8259 0.0000 12.5621 C
11.4913 0.0000 0.3694 C
7.2223 0.0000 6.8473 C
15.6580 0.0000 2.8466 C
9.1531 0.0000 12.7084 C
18.8075 0.0000 0.4879 C
16.7986 0.0000 3.5168 C
-0.7268 0.0000 6.6274 Cl
1.6221 0.0000 3.2228 Cl
4.1362 0.0000 9.4484 Cl
9.1810 0.0000 3.4831 Cl
11.6951 0.0000 9.7087 Cl
14.0439 0.0000 6.3040 Cl
```